The following is a computed PXRD pattern of Na2DyGaTe4. It was derived from a DFT-relaxed cell (PBE, Alexandria), using CuKα.

Cell and atoms:
abc: 8.8509 8.8509 8.8509
angles: 122.74 118.67 88.83
Fractional coordinates of all 16 atoms:
Na 0.0000 0.0000 0.0000
Na 0.5000 0.0000 0.0000
Na 0.5000 0.0000 0.5000
Na 0.5000 0.5000 0.5000
Dy 0.0000 0.5000 0.5000
Dy 0.5000 0.5000 0.0000
Ga 0.0000 0.0000 0.5000
Ga 0.0000 0.5000 0.0000
Te 0.2120 0.7458 0.4663
Te 0.2205 0.2542 0.9663
Te 0.2456 0.2509 0.5053
Te 0.2456 0.7403 0.9947
Te 0.7544 0.2597 0.0053
Te 0.7544 0.7491 0.4947
Te 0.7795 0.7458 0.0337
Te 0.7880 0.2542 0.5337

Main lines, by angle (2θ = 10–80°):
2θ = 12.57°, I = 27
2θ = 28.23°, I = 56
2θ = 28.88°, I = 100
2θ = 40.83°, I = 77
2θ = 42.64°, I = 22
2θ = 49.63°, I = 21
2θ = 51.92°, I = 24
2θ = 66.43°, I = 18